Theoretical powder XRD pattern
Compound: CdIn2AgHg6
Radiation: copper Kα
Structure: a PBE-relaxed structure
Kinematic intensities with the Lorentz-polarization factor, no thermal factor.

Top 10 peaks for 5 to 70 degrees two-theta, most intense first:
- 32.5 deg, rel. 100.0
- 37.6 deg, rel. 72.6
- 33.2 deg, rel. 59.6
- 32.9 deg, rel. 57.7
- 33.4 deg, rel. 46.7
- 33.0 deg, rel. 46.3
- 36.7 deg, rel. 28.0
- 28.2 deg, rel. 27.0
- 30.8 deg, rel. 24.9
- 37.8 deg, rel. 24.3

Atomic structure:
```
CdIn2AgHg6
1.0
6.330 0.000 0.000
-3.052 5.546 0.000
-3.153 -1.843 7.284
Cd In Ag Hg
1 2 1 6
Direct
0.000 0.000 0.000 Cd
0.726 0.072 0.274 In
0.804 0.445 0.740 In
0.074 0.581 0.505 Ag
0.078 0.571 0.145 Hg
0.257 0.079 0.418 Hg
0.280 0.339 0.782 Hg
0.430 0.931 0.867 Hg
0.560 0.498 0.213 Hg
0.654 0.820 0.583 Hg
```

Theoretical powder XRD pattern
Compound: NdTm4Pb2
Radiation: copper Kα
Structure: a PBE-relaxed structure
Kinematic intensities with the Lorentz-polarization factor, no thermal factor.

Top 10 peaks for 5 to 70 degrees two-theta, most intense first:
- 32.5 deg, rel. 100.0
- 28.3 deg, rel. 74.3
- 37.9 deg, rel. 43.9
- 67.4 deg, rel. 39.1
- 35.1 deg, rel. 38.6
- 39.6 deg, rel. 32.1
- 56.0 deg, rel. 28.9
- 20.3 deg, rel. 19.1
- 28.9 deg, rel. 16.3
- 38.6 deg, rel. 11.7

Atomic structure:
```
NdTm4Pb2
1.0
9.785 0.000 0.000
0.000 9.785 0.000
0.000 0.000 4.556
Nd Tm Pb
2 8 4
Direct
0.000 0.000 0.000 Nd
0.500 0.500 0.500 Nd
0.095 0.346 0.500 Tm
0.154 0.595 0.000 Tm
0.346 0.095 0.500 Tm
0.405 0.846 0.000 Tm
0.595 0.154 0.000 Tm
0.654 0.905 0.500 Tm
0.846 0.405 0.000 Tm
0.905 0.654 0.500 Tm
0.180 0.820 0.500 Pb
0.320 0.320 0.000 Pb
0.680 0.680 0.000 Pb
0.820 0.180 0.500 Pb
```

Theoretical powder XRD pattern
Compound: LaYTh2
Radiation: copper Kα
Structure: a PBE-relaxed structure
Kinematic intensities with the Lorentz-polarization factor, no thermal factor.

Top 10 peaks for 5 to 70 degrees two-theta, most intense first:
- 30.3 deg, rel. 100.0
- 8.6 deg, rel. 28.5
- 35.1 deg, rel. 17.2
- 35.4 deg, rel. 16.8
- 34.8 deg, rel. 16.7
- 60.0 deg, rel. 14.7
- 60.4 deg, rel. 14.4
- 59.7 deg, rel. 13.5
- 50.7 deg, rel. 12.2
- 63.0 deg, rel. 12.2

Atomic structure:
```
LaYTh2
1.0
5.113 0.000 0.000
0.000 5.068 0.000
0.000 0.000 10.303
La Y Th
2 2 4
Direct
0.250 0.000 0.137 La
0.750 0.000 0.863 La
0.250 0.500 0.864 Y
0.750 0.500 0.136 Y
0.250 0.000 0.620 Th
0.250 0.500 0.384 Th
0.750 0.000 0.380 Th
0.750 0.500 0.616 Th
```

Theoretical powder XRD pattern
Compound: LaY3Rh4
Radiation: copper Kα
Structure: a PBE-relaxed structure
Kinematic intensities with the Lorentz-polarization factor, no thermal factor.

Top 10 peaks for 5 to 70 degrees two-theta, most intense first:
- 36.5 deg, rel. 100.0
- 36.6 deg, rel. 99.9
- 65.8 deg, rel. 51.6
- 52.6 deg, rel. 34.2
- 65.6 deg, rel. 17.0
- 27.9 deg, rel. 1.7
- 22.1 deg, rel. 1.4
- 21.2 deg, rel. 1.1
- 53.8 deg, rel. 0.7
- 43.1 deg, rel. 0.6

Atomic structure:
```
LaY3Rh4
1.0
2.456 1.418 8.057
-2.456 1.418 8.057
0.000 -2.836 8.057
La Y Rh
1 3 4
Direct
0.000 0.000 0.000 La
0.248 0.248 0.248 Y
0.500 0.500 0.500 Y
0.752 0.752 0.752 Y
0.127 0.127 0.127 Rh
0.377 0.377 0.377 Rh
0.623 0.623 0.623 Rh
0.873 0.873 0.873 Rh
```

Theoretical powder XRD pattern
Compound: ZrBiP
Radiation: copper Kα
Structure: a PBE-relaxed structure
Kinematic intensities with the Lorentz-polarization factor, no thermal factor.

Top 10 peaks for 5 to 70 degrees two-theta, most intense first:
- 35.6 deg, rel. 100.0
- 25.7 deg, rel. 70.1
- 31.8 deg, rel. 67.6
- 34.3 deg, rel. 66.8
- 43.9 deg, rel. 45.9
- 7.9 deg, rel. 40.7
- 24.8 deg, rel. 39.1
- 29.2 deg, rel. 37.9
- 30.5 deg, rel. 32.2
- 26.6 deg, rel. 31.0

Atomic structure:
```
ZrBiP
1.0
3.592 0.000 0.000
0.000 3.649 0.000
-0.793 0.000 11.244
Zr Bi P
2 2 2
Direct
0.228 0.250 0.399 Zr
0.772 0.750 0.601 Zr
0.101 0.750 0.883 Bi
0.899 0.250 0.117 Bi
0.280 0.250 0.640 P
0.720 0.750 0.360 P
```

Theoretical powder XRD pattern
Compound: Nd3Cd2
Radiation: copper Kα
Structure: a PBE-relaxed structure
Kinematic intensities with the Lorentz-polarization factor, no thermal factor.

Top 10 peaks for 5 to 70 degrees two-theta, most intense first:
- 32.0 deg, rel. 100.0
- 33.0 deg, rel. 54.7
- 58.3 deg, rel. 35.3
- 47.4 deg, rel. 19.7
- 56.4 deg, rel. 11.2
- 60.4 deg, rel. 10.8
- 35.2 deg, rel. 10.0
- 66.9 deg, rel. 6.6
- 69.2 deg, rel. 6.2
- 44.4 deg, rel. 5.8

Atomic structure:
```
Nd3Cd2
1.0
3.839 0.000 0.000
0.000 3.839 0.000
0.000 0.000 20.425
Nd Cd
6 4
Direct
0.000 0.000 0.000 Nd
0.000 0.000 0.189 Nd
0.000 0.000 0.378 Nd
0.000 0.000 0.622 Nd
0.000 0.000 0.811 Nd
0.500 0.500 0.500 Nd
0.500 0.500 0.094 Cd
0.500 0.500 0.286 Cd
0.500 0.500 0.714 Cd
0.500 0.500 0.906 Cd
```

Theoretical powder XRD pattern
Compound: KFe2I6Cl2
Radiation: copper Kα
Structure: a PBE-relaxed structure
Kinematic intensities with the Lorentz-polarization factor, no thermal factor.

Top 10 peaks for 5 to 70 degrees two-theta, most intense first:
- 25.0 deg, rel. 100.0
- 15.9 deg, rel. 52.8
- 28.6 deg, rel. 44.4
- 40.3 deg, rel. 28.2
- 33.9 deg, rel. 28.1
- 8.0 deg, rel. 26.9
- 13.6 deg, rel. 25.9
- 37.4 deg, rel. 24.6
- 24.0 deg, rel. 21.7
- 51.2 deg, rel. 21.6

Atomic structure:
```
KFe2I6Cl2
1.0
7.532 0.000 0.000
-3.766 6.523 0.000
0.000 0.000 11.113
K Fe I Cl
1 2 6 2
Direct
0.000 0.000 0.000 K
0.333 0.667 0.720 Fe
0.667 0.333 0.280 Fe
0.007 0.395 0.196 I
0.388 0.993 0.196 I
0.395 0.388 0.804 I
0.605 0.612 0.196 I
0.612 0.007 0.804 I
0.993 0.605 0.804 I
0.333 0.667 0.527 Cl
0.667 0.333 0.473 Cl
```

Theoretical powder XRD pattern
Compound: InSbTeSe
Radiation: copper Kα
Structure: a PBE-relaxed structure
Kinematic intensities with the Lorentz-polarization factor, no thermal factor.

Top 10 peaks for 5 to 70 degrees two-theta, most intense first:
- 30.8 deg, rel. 100.0
- 45.8 deg, rel. 88.8
- 26.8 deg, rel. 68.5
- 34.8 deg, rel. 65.3
- 30.7 deg, rel. 48.2
- 37.3 deg, rel. 46.3
- 26.2 deg, rel. 44.1
- 19.6 deg, rel. 35.7
- 35.0 deg, rel. 32.5
- 9.8 deg, rel. 31.1

Atomic structure:
```
InSbTeSe
1.0
3.433 -1.981 0.000
3.433 1.981 0.000
-2.247 0.000 9.069
In Sb Te Se
1 1 1 1
Direct
0.000 0.000 0.000 In
0.756 0.756 0.271 Sb
0.158 0.158 0.484 Te
0.615 0.615 0.843 Se
```